Entry 1:
RbAg3IrS4: theoretical PXRD pattern (Cu Kα (λ = 1.5418 Å)), based on a crystal structure in OQMD, relaxed with PBE.

abc: 6.334 6.334 6.334
angles: 90.00 90.00 90.00
Space group P-43m (No. 215)
Unique sites:
Rb1 0.000 0.000 0.000 x1
Ag1 0.000 0.500 0.500 x3
Ir1 0.500 0.500 0.500 x1
S1 0.291 0.291 0.291 x4

The 12 most intense peaks (2θ = 5–70°), low angle first:
(hkl), 2θ/deg, I/Imax
1 0 0, 13.98, 85
1 1 0, 19.82, 36
1 1 1, 24.34, 36
2 0 0, 28.18, 64
2 1 0, 31.59, 26
2 1 1, 34.69, 17
2 2 0, 40.27, 100
2 2 1, 42.83, 21
3 1 1, 47.62, 15
2 2 2, 49.88, 20
3 2 0, 52.06, 16
4 2 0, 65.96, 28

Entry 2:
RbAgTe2IrS: theoretical PXRD pattern (Cu Kα (λ = 1.5418 Å)), based on a crystal structure in OQMD, relaxed with PBE.

abc: 4.085 16.221 10.168
angles: 90.00 90.00 90.00
Space group Cmcm (No. 63)
Unique sites:
Rb1 0.000 0.238 0.250 x4
Ag1 0.000 0.461 0.750 x4
Te1 0.000 0.390 0.510 x8
Ir1 0.000 0.000 0.000 x4
S1 0.000 0.053 0.750 x4

The 12 most intense peaks (2θ = 5–70°), low angle first:
(hkl), 2θ/deg, I/Imax
0 2 0, 10.91, 100
0 0 2, 17.44, 18
0 2 2, 20.62, 24
1 3 0, 27.36, 16
1 3 1, 28.76, 23
1 3 2, 32.63, 62
0 0 4, 35.32, 64
1 5 2, 39.66, 44
2 0 0, 44.35, 19
2 2 0, 45.85, 12
1 5 4, 50.81, 20
2 0 4, 57.92, 17

Entry 3:
AgIr6W: theoretical PXRD pattern (Cu Kα (λ = 1.5418 Å)), based on a crystal structure in OQMD, relaxed with PBE.

abc: 8.491 8.491 8.491
angles: 90.00 90.00 90.00
Space group F-43m (No. 216)
Unique sites:
Ag1 0.000 0.000 0.000 x4
Ir1 0.000 0.000 0.288 x24
W1 0.250 0.250 0.750 x4

The 12 most intense peaks (2θ = 5–70°), low angle first:
(hkl), 2θ/deg, I/Imax
1 1 1, 18.09, 29
2 0 0, 20.92, 34
3 1 1, 35.05, 19
2 2 2, 36.66, 100
4 0 0, 42.59, 69
3 3 1, 46.62, 41
4 2 0, 47.91, 4
4 2 2, 52.82, 3
3 3 3, 56.30, 36
4 4 0, 61.81, 35
5 3 1, 64.98, 4
6 0 0, 66.01, 5

Entry 4:
K4Ag: theoretical PXRD pattern (Cu Kα (λ = 1.5418 Å)), based on a crystal structure in OQMD, relaxed with PBE.

abc: 11.021 11.021 9.365
angles: 90.00 90.00 90.00
Space group I4_1/amd (No. 141, origin choice 2)
Unique sites:
K1 0.000 0.055 0.204 x16
Ag1 0.000 0.250 0.875 x4

The 12 most intense peaks (2θ = 5–70°), low angle first:
(hkl), 2θ/deg, I/Imax
1 0 1, 12.40, 100
2 0 0, 16.08, 84
1 1 2, 22.15, 30
2 0 2, 24.95, 53
3 0 1, 26.05, 92
1 0 3, 29.75, 57
3 2 1, 30.77, 67
3 1 2, 32.01, 67
4 0 0, 32.50, 38
3 3 2, 39.68, 35
4 3 1, 42.12, 37
2 1 5, 52.23, 27